The following is a simulated PXRD pattern of KCoGeO4. It was derived from a GGA+U-relaxed structure, using Cu Kα X-rays.

Main lines, by intensity (10° ≤ 2θ ≤ 80°):
| 2θ/deg | intensity | hkl |
| --- | --- | --- |
| 13.0 | 100.0 | 0 0 1 |
| 31.8 | 37.4 | 0 2 0 |
| 30.8 | 29.6 | 0 1 2 |
| 28.2 | 29.3 | 1 0 -2 |
| 28.5 | 25.9 | 1 1 1 |
| 20.5 | 25.2 | 0 1 1 |
| 42.8 | 22.3 | 2 1 1 |
| 37.8 | 21.4 | 2 1 -1 |
| 55.7 | 16.2 | 1 1 -4 |
| 38.1 | 12.6 | 2 1 0 |

Structure:
```
data_KCoGeO4
_symmetry_space_group_name_H-M 'P 1 21/m 1'
_symmetry_Int_Tables_number 11
_cell_length_a 5.3344
_cell_length_b 5.6209
_cell_length_c 6.9492
_cell_angle_alpha 90.00
_cell_angle_beta 102.25
_cell_angle_gamma 90.00
loop_
_symmetry_equiv_pos_as_xyz
'x,y,z'
'-x,-y,-z'
'-x,y+1/2,-z'
'x,-y+1/2,z'
loop_
_atom_site_label
_atom_site_fract_x
_atom_site_fract_y
_atom_site_fract_z
K1 0.1356 0.2500 0.0941
Co1 0.1635 0.7500 0.4763
Ge1 0.3862 0.2500 0.6518
O1 0.1498 0.0216 0.6650
O2 0.2959 0.7500 0.2086
O3 0.4667 0.2500 0.4174
```